1.
Starting from a cell relaxed with GGA-PBE, the X-ray powder pattern of Er3Tl2Sn was simulated for CuKα.

Largest 10 diffraction maxima, by intensity, 2θ = 10–90°:
d = 2.650 Å, I = 100; d = 2.679 Å, I = 26; d = 2.696 Å, I = 26; d = 1.541 Å, I = 20; d = 1.901 Å, I = 19; d = 1.547 Å, I = 19; d = 1.325 Å, I = 12; d = 1.521 Å, I = 9; d = 1.524 Å, I = 9; d = 1.848 Å, I = 9

Structural model:
```
Er3Tl2Sn
1.0
5.359 0.000 0.000
0.000 16.176 0.000
0.000 0.000 3.695
Er Tl Sn
6 4 2
direct
0.250 0.090 0.001
0.250 0.410 0.001
0.250 0.750 0.998
0.750 0.250 0.002
0.750 0.590 0.999
0.750 0.910 0.999
0.250 0.578 0.500
0.250 0.922 0.500
0.750 0.078 0.500
0.750 0.422 0.500
0.250 0.250 0.501
0.750 0.750 0.499
```



2.
Starting from a cell relaxed with GGA-PBE, the X-ray powder pattern of K6Rb4Au was simulated for CuKα.

Largest 10 diffraction maxima, by intensity, 2θ = 10–90°:
d = 8.202 Å, I = 100; d = 3.877 Å, I = 91; d = 3.761 Å, I = 81; d = 4.697 Å, I = 43; d = 2.262 Å, I = 32; d = 3.599 Å, I = 30; d = 2.632 Å, I = 29; d = 2.660 Å, I = 25; d = 3.167 Å, I = 23; d = 2.484 Å, I = 23

Structural model:
```
K6Rb4Au
1.0
11.892 0.000 0.000
0.000 11.892 0.000
0.000 0.000 11.327
K Rb Au
12 8 2
direct
0.000 0.000 0.203
0.000 0.000 0.797
0.124 0.261 0.500
0.239 0.376 0.000
0.261 0.876 0.500
0.376 0.761 0.000
0.500 0.500 0.297
0.500 0.500 0.703
0.624 0.239 0.000
0.739 0.124 0.500
0.761 0.624 0.000
0.876 0.739 0.500
0.133 0.633 0.250
0.133 0.633 0.750
0.367 0.133 0.250
0.367 0.133 0.750
0.633 0.867 0.250
0.633 0.867 0.750
0.867 0.367 0.250
0.867 0.367 0.750
0.000 0.000 0.500
0.500 0.500 0.000
```



3.
Starting from a cell relaxed with GGA-PBE, the X-ray powder pattern of Sm2Zn3Cu was simulated for CuKα.

Largest 10 diffraction maxima, by intensity, 2θ = 10–90°:
d = 2.614 Å, I = 100; d = 2.258 Å, I = 38; d = 1.708 Å, I = 27; d = 1.387 Å, I = 23; d = 2.254 Å, I = 19; d = 3.908 Å, I = 18; d = 1.363 Å, I = 17; d = 1.758 Å, I = 9; d = 1.361 Å, I = 8; d = 1.123 Å, I = 7

Structural model:
```
Sm2Zn3Cu
1.0
0.000 4.507 7.826
3.517 0.000 7.826
3.517 4.507 0.000
Sm Zn Cu
4 6 2
direct
0.245 0.755 0.755
0.250 0.250 0.250
0.750 0.750 0.750
0.755 0.245 0.245
0.164 0.667 0.333
0.332 0.332 0.668
0.333 0.836 0.164
0.667 0.164 0.836
0.668 0.668 0.332
0.836 0.333 0.667
0.167 0.167 0.833
0.833 0.833 0.167
```